Diffraction record for FeTeSe. The powder XRD pattern is theoretical, not measured: it uses a structure optimized by DFT (GGA-PBE) and λ = 1.5418 Å (Cu Kα).
Kinematic intensities with the Lorentz-polarization factor, no thermal factor.

Atomic structure:
Lattice parameters (Å, degrees): 3.742 5.022 6.012 90.00 90.00 90.00
Space group Pmn2_1 (No. 31)
Asymmetric unit:
Fe 0.000 0.236 0.000
Te 0.000 0.471 0.367
Se 0.000 0.029 0.638

Top 8 peaks for 10° ≤ 2θ ≤ 80°, sorted by position:
- 28.1 deg, intensity 22, hkl 1 0 1
- 29.8 deg, intensity 31, hkl 1 1 0
- 33.4 deg, intensity 100, hkl 1 1 1
- 34.8 deg, intensity 74, hkl 0 1 2
- 46.1 deg, intensity 58, hkl 1 2 1
- 48.7 deg, intensity 24, hkl 2 0 0
- 51.7 deg, intensity 31, hkl 1 0 3
- 61.2 deg, intensity 28, hkl 2 1 2

=====

Diffraction record for Al5Ni. The powder XRD pattern is theoretical, not measured: it uses a structure optimized by DFT (GGA-PBE) and λ = 1.5418 Å (Cu Kα).
Kinematic intensities with the Lorentz-polarization factor, no thermal factor.

Atomic structure:
Lattice parameters (Å, degrees): 5.2611 5.2611 15.3780 90.00 90.00 120.00
Space group P6_3/mmc (No. 194)
Asymmetric unit:
Al 0.0000 0.0000 0.0918
Al 0.0000 0.5000 0.0000
Al 0.1651 0.3302 0.2500
Al 0.3333 0.6667 0.6590
Ni 0.3333 0.6667 0.1240

Top 8 peaks for 10° ≤ 2θ ≤ 80°, sorted by position:
- 20.3 deg, intensity 39, hkl 1 0 1
- 34.1 deg, intensity 46, hkl 1 1 0
- 40.4 deg, intensity 22, hkl 1 0 6
- 41.3 deg, intensity 37, hkl 2 0 2
- 41.6 deg, intensity 100, hkl 1 1 4
- 43.5 deg, intensity 28, hkl 2 0 3
- 66.2 deg, intensity 24, hkl 3 0 4
- 71.8 deg, intensity 23, hkl 2 2 0